Entry 1:
# SmDy2Tm7
Calculated X-ray diffraction stick pattern, CuKα. Input: a DFT-relaxed cell (GGA-PBE, Alexandria).
Intensities are scaled so that the largest is 100.

Most intense lines, 2θ = 10–80°, most intense first:
d = 2.866 Å, I 100
d = 2.482 Å, I 51
d = 1.496 Å, I 21
d = 1.757 Å, I 18
d = 1.753 Å, I 18
d = 1.498 Å, I 18

Structural model:
Cell: 6.0745 7.0306 7.8388 Å, 77.18 75.05 73.30°
Atoms (fractional coordinates):
1 Sm 0.0000 0.0000 0.0000
2 Dy 0.2000 0.3002 0.6001
3 Dy 0.8000 0.6998 0.3999
4 Tm 0.0000 0.5000 0.0000
5 Tm 0.2005 0.7995 0.5998
6 Tm 0.3999 0.1002 0.2001
7 Tm 0.4005 0.5993 0.2007
8 Tm 0.5995 0.4007 0.7993
9 Tm 0.6001 0.8998 0.7999
10 Tm 0.7995 0.2005 0.4002

---

Entry 2:
# Np3BiTe6
Calculated X-ray diffraction stick pattern, CuKα. Input: a DFT-relaxed cell (GGA-PBE, Alexandria).
Intensities are scaled so that the largest is 100.

Most intense lines, 2θ = 10–80°, most intense first:
d = 3.969 Å, I 100
d = 2.390 Å, I 74
d = 2.875 Å, I 69
d = 2.696 Å, I 63
d = 2.660 Å, I 47
d = 3.931 Å, I 44

Structural model:
Cell: 9.5643 9.5643 7.5707 Å, 90.00 90.00 102.89°
Atoms (fractional coordinates):
1 Np 0.0912 0.9088 0.5000
2 Np 0.2233 0.4184 0.3851
3 Np 0.4184 0.2233 0.8851
4 Np 0.5816 0.7767 0.3851
5 Np 0.7767 0.5816 0.8851
6 Np 0.9088 0.0912 0.0000
7 Bi 0.3179 0.6821 0.8633
8 Bi 0.6821 0.3179 0.3633
9 Te 0.0479 0.5903 0.6468
10 Te 0.1254 0.2061 0.6969
11 Te 0.2061 0.1254 0.1969
12 Te 0.2634 0.7366 0.2514
13 Te 0.4097 0.9521 0.6468
14 Te 0.4989 0.5011 0.1205
15 Te 0.5011 0.4989 0.6205
16 Te 0.5903 0.0479 0.1468
17 Te 0.7366 0.2634 0.7514
18 Te 0.7939 0.8746 0.6969
19 Te 0.8746 0.7939 0.1969
20 Te 0.9521 0.4097 0.1468

---

Entry 3:
# Cs2CeNiS4
Calculated X-ray diffraction stick pattern, CuKα. Input: a DFT-relaxed cell (GGA-PBE, Alexandria).
Intensities are scaled so that the largest is 100.

Most intense lines, 2θ = 10–80°, most intense first:
d = 3.709 Å, I 100
d = 3.071 Å, I 58
d = 2.872 Å, I 51
d = 6.492 Å, I 45
d = 2.537 Å, I 43
d = 2.073 Å, I 39

Structural model:
Cell: 14.8437 13.3561 7.8467 Å, 84.63 63.62 31.76°
Atoms (fractional coordinates):
1 Cs 0.0545 0.0545 0.6955
2 Cs 0.3045 0.3045 0.9455
3 Cs 0.6955 0.6955 0.0545
4 Cs 0.9455 0.9455 0.3045
5 Ce 0.1250 0.1250 0.1250
6 Ce 0.8750 0.8750 0.8750
7 Ni 0.3750 0.3750 0.3750
8 Ni 0.6250 0.6250 0.6250
9 S 0.0217 0.6327 0.5400
10 S 0.3056 0.5400 0.6327
11 S 0.3673 0.9783 0.6944
12 S 0.4600 0.6944 0.9783
13 S 0.5400 0.3056 0.0217
14 S 0.6327 0.0217 0.3056
15 S 0.6944 0.4600 0.3673
16 S 0.9783 0.3673 0.4600